[1]
For Tb6Te2C3, the PBE geometry in Alexandria gives the theoretical XRD peak list in this record (Cu Kα).
Intensities are scaled so that the largest is 100.

The 8 most intense peaks (2θ = 10–90°), low angle first:
28.70 deg, I 44.7; 32.17 deg, I 100.0; 34.52 deg, I 32.5; 34.63 deg, I 15.9; 37.50 deg, I 23.6; 48.55 deg, I 40.2; 62.81 deg, I 15.9; 62.89 deg, I 21.2

Structure:
a b c (Å): 6.498 6.498 7.521
angles (deg): 98.36 98.36 120.07
Fractional positions:
1 Tb 0.058 0.395 0.184
2 Tb 0.269 0.269 0.821
3 Tb 0.395 0.058 0.184
4 Tb 0.605 0.942 0.816
5 Tb 0.731 0.731 0.179
6 Tb 0.942 0.605 0.816
7 Te 0.165 0.835 0.500
8 Te 0.835 0.165 0.500
9 C 0.000 0.000 0.000
10 C 0.329 0.671 0.000
11 C 0.671 0.329 0.000



[2]
For TbTh6C5, the PBE geometry in Alexandria gives the theoretical XRD peak list in this record (Cu Kα).
Intensities are scaled so that the largest is 100.

The 8 most intense peaks (2θ = 10–90°), low angle first:
26.07 deg, I 25.1; 26.98 deg, I 100.0; 27.52 deg, I 45.5; 30.20 deg, I 52.0; 33.43 deg, I 97.1; 38.27 deg, I 55.2; 46.00 deg, I 34.1; 56.51 deg, I 45.3

Structure:
a b c (Å): 6.835 6.835 12.965
angles (deg): 90.00 90.00 120.00
Fractional positions:
1 Tb 0.000 0.000 0.250
2 Tb 0.000 0.000 0.750
3 Th 0.000 0.390 0.117
4 Th 0.000 0.390 0.383
5 Th 0.000 0.610 0.617
6 Th 0.000 0.610 0.883
7 Th 0.390 0.000 0.117
8 Th 0.390 0.000 0.383
9 Th 0.390 0.390 0.617
10 Th 0.390 0.390 0.883
11 Th 0.610 0.000 0.617
12 Th 0.610 0.000 0.883
13 Th 0.610 0.610 0.117
14 Th 0.610 0.610 0.383
15 C 0.000 0.349 0.750
16 C 0.000 0.651 0.250
17 C 0.333 0.667 0.000
18 C 0.333 0.667 0.500
19 C 0.349 0.000 0.750
20 C 0.349 0.349 0.250
21 C 0.651 0.000 0.250
22 C 0.651 0.651 0.750
23 C 0.667 0.333 0.000
24 C 0.667 0.333 0.500



[3]
For Tb3Th2C3, the PBE geometry in Alexandria gives the theoretical XRD peak list in this record (Cu Kα).
Intensities are scaled so that the largest is 100.

The 8 most intense peaks (2θ = 10–90°), low angle first:
28.62 deg, I 93.3; 29.23 deg, I 77.6; 29.53 deg, I 100.0; 29.78 deg, I 35.4; 34.54 deg, I 80.9; 37.76 deg, I 30.9; 52.10 deg, I 23.4; 58.69 deg, I 31.5

Structure:
a b c (Å): 6.403 6.403 11.870
angles (deg): 91.41 91.41 47.85
Fractional positions:
1 Tb 0.000 0.000 0.000
2 Tb 0.006 0.006 0.742
3 Tb 0.209 0.209 0.375
4 Tb 0.610 0.610 0.548
5 Tb 0.685 0.685 0.873
6 Tb 0.899 0.899 0.243
7 Th 0.286 0.286 0.695
8 Th 0.288 0.288 0.054
9 Th 0.611 0.611 0.191
10 Th 0.893 0.893 0.505
11 C 0.109 0.109 0.177
12 C 0.111 0.111 0.559
13 C 0.172 0.172 0.874
14 C 0.730 0.730 0.371
15 C 0.787 0.787 0.068
16 C 0.788 0.788 0.683



[4]
For TbThC, the PBE geometry in Alexandria gives the theoretical XRD peak list in this record (Cu Kα).
Intensities are scaled so that the largest is 100.

The 8 most intense peaks (2θ = 10–90°), low angle first:
13.99 deg, I 15.4; 28.19 deg, I 34.6; 29.97 deg, I 100.0; 34.23 deg, I 76.4; 48.04 deg, I 25.1; 50.33 deg, I 27.4; 58.68 deg, I 27.9; 59.69 deg, I 14.9

Structure:
a b c (Å): 3.626 3.626 18.992
angles (deg): 90.00 90.00 120.00
Fractional positions:
1 Tb 0.000 0.000 0.000
2 Tb 0.333 0.667 0.667
3 Tb 0.667 0.333 0.333
4 Th 0.000 0.000 0.481
5 Th 0.333 0.667 0.148
6 Th 0.667 0.333 0.814
7 C 0.000 0.000 0.738
8 C 0.333 0.667 0.405
9 C 0.667 0.333 0.072



[5]
For TbTh5C4, the PBE geometry in Alexandria gives the theoretical XRD peak list in this record (Cu Kα).
Intensities are scaled so that the largest is 100.

The 8 most intense peaks (2θ = 10–90°), low angle first:
28.98 deg, I 50.0; 29.37 deg, I 50.3; 29.62 deg, I 100.0; 34.02 deg, I 78.7; 34.18 deg, I 38.7; 48.75 deg, I 26.9; 49.25 deg, I 28.1; 58.37 deg, I 29.4

Structure:
a b c (Å): 8.275 8.275 7.538
angles (deg): 102.40 102.40 25.74
Fractional positions:
1 Tb 0.000 0.000 0.000
2 Th 0.000 0.000 0.500
3 Th 0.338 0.338 0.157
4 Th 0.341 0.341 0.692
5 Th 0.659 0.659 0.308
6 Th 0.662 0.662 0.843
7 C 0.168 0.168 0.082
8 C 0.497 0.497 0.745
9 C 0.503 0.503 0.255
10 C 0.832 0.832 0.918